Diffraction record for Na4Y2Si2SO12. The X-ray powder pattern is simulated, not measured: it uses a DFT-relaxed cell (PBE, the Materials Project) and copper Kα.
Peak positions follow from Bragg's law for the DFT cell and can differ from measured ones.

Largest 6 diffraction maxima, low angle first, 2θ from 10° to 90°:
| hkl | Position (°2θ) | d/Å | I/Imax |
| --- | --- | --- | --- |
| 2 0 -2 | 18.7 | 4.754 | 93 |
| 2 2 -1 | 21.9 | 4.056 | 28 |
| 3 1 -3 | 29.7 | 3.005 | 100 |
| 2 0 2 | 32.6 | 2.747 | 74 |
| 2 2 -4 | 44.7 | 2.028 | 47 |
| 6 4 0 | 56.4 | 1.632 | 28 |

```
data_Na4Y2Si2SO12
_space_group_name_H-M_alt 'C 1 c 1'
_space_group_IT_number 9
_space_group_name_Hall 'C -2yc'
_cell_length_a 16.439
_cell_length_b 9.524
_cell_length_c 9.508
_cell_angle_alpha 90.00
_cell_angle_beta 125.21
_cell_angle_gamma 90.00
loop_
_atom_site_label
_atom_site_type_symbol
_atom_site_fract_x
_atom_site_fract_y
_atom_site_fract_z
_atom_site_occupancy
Na1 Na 0.000 0.050 0.000 1
Na2 Na 0.212 0.375 0.871 1
Na3 Na 0.352 0.079 0.714 1
Na4 Na 0.431 0.273 0.097 1
Y1 Y 0.094 0.239 0.469 1
Y2 Y 0.291 0.249 0.270 1
Si1 Si 0.193 0.057 0.866 1
Si2 Si 0.342 0.403 0.669 1
S1 S 0.040 0.401 0.065 1
O1 O 0.034 0.445 0.536 1
O2 O 0.038 0.374 0.215 1
O3 O 0.114 0.161 0.704 1
O4 O 0.123 0.044 0.396 1
O5 O 0.133 0.342 0.096 1
O6 O 0.238 0.344 0.634 1
O7 O 0.261 0.042 0.330 1
O8 O 0.272 0.155 0.035 1
O9 O 0.345 0.371 0.502 1
O10 O 0.355 0.426 0.198 1
O11 O 0.432 0.318 0.844 1
O12 O 0.456 0.168 0.407 1
```